[1]
The following is a theoretical XRD peak list of PaGeAs2N. It was derived from a crystal structure in Alexandria, relaxed with GGA-PBE, using CuKα.
Kinematic intensities with the Lorentz-polarization factor, no thermal factor.

Top 6 peaks for 2θ from 5° to 70°, low angle first:
index  two_theta  d/Å  Rel. int.
0 0 1  7.0  12.586  73
1 0 2  27.0  3.301  45
1 0 3  31.4  2.848  79
1 1 0  32.7  2.742  100
1 0 4  36.8  2.443  42
2 0 0  46.9  1.939  41

Crystal structure
a b c (Å): 3.8777 3.8777 12.5857
angles (deg): 90.00 90.00 90.00
Positions (direct):
Pa (0.2500, 0.2500, 0.0976)
Pa (0.7500, 0.7500, 0.9024)
Ge (0.2500, 0.2500, 0.5945)
Ge (0.7500, 0.7500, 0.4055)
As (0.2500, 0.2500, 0.3883)
As (0.2500, 0.2500, 0.7929)
As (0.7500, 0.7500, 0.2071)
As (0.7500, 0.7500, 0.6117)
N (0.2500, 0.7500, 0.0000)
N (0.7500, 0.2500, 0.0000)

***

[2]
The following is a theoretical XRD peak list of GeAsSe2N. It was derived from a crystal structure in Alexandria, relaxed with GGA-PBE, using CuKα.
Kinematic intensities with the Lorentz-polarization factor, no thermal factor.

Top 6 peaks for 2θ from 5° to 70°, low angle first:
index  two_theta  d/Å  Rel. int.
1 0 1  30.5  2.927  50
2 0 0  34.5  2.597  100
1 1 1  35.2  2.550  55
2 1 1  46.8  1.942  32
2 2 0  49.7  1.836  35
2 0 2  63.6  1.463  32

Crystal structure
a b c (Å): 5.1934 5.1934 3.5426
angles (deg): 90.00 90.00 90.00
Positions (direct):
Ge (0.0000, 0.0000, 0.0000)
As (0.5000, 0.5000, 0.5000)
Se (0.0000, 0.5000, 0.0000)
Se (0.5000, 0.0000, 0.0000)
N (0.0000, 0.0000, 0.5000)

***

[3]
The following is a theoretical XRD peak list of Na5GeAs3. It was derived from a crystal structure in Alexandria, relaxed with GGA-PBE, using CuKα.
Kinematic intensities with the Lorentz-polarization factor, no thermal factor.

Top 6 peaks for 2θ from 5° to 70°, low angle first:
index  two_theta  d/Å  Rel. int.
1 0 -2  12.4  7.136  54
1 0 2  22.4  3.976  50
2 1 1  31.4  2.850  56
1 2 2  32.6  2.746  100
3 0 -6  37.8  2.379  61
0 0 6  40.0  2.257  49

Crystal structure
a b c (Å): 8.3985 7.5968 15.9301
angles (deg): 90.00 121.79 90.00
Positions (direct):
Na (0.0047, 0.1627, 0.0812)
Na (0.0047, 0.3373, 0.5812)
Na (0.0819, 0.0056, 0.7574)
Na (0.0819, 0.4944, 0.2574)
Na (0.2595, 0.5200, 0.0863)
Na (0.2595, 0.9800, 0.5863)
Na (0.3146, 0.6458, 0.7424)
Na (0.3146, 0.8542, 0.2424)
Na (0.4153, 0.0369, 0.0859)
Na (0.4153, 0.4631, 0.5859)
Na (0.5847, 0.5369, 0.4141)
Na (0.5847, 0.9631, 0.9141)
Na (0.6854, 0.1458, 0.7576)
Na (0.6854, 0.3542, 0.2576)
Na (0.7405, 0.0200, 0.4137)
Na (0.7405, 0.4800, 0.9137)
Na (0.9181, 0.5056, 0.7426)
Na (0.9181, 0.9944, 0.2426)
Na (0.9953, 0.6627, 0.4188)
Na (0.9953, 0.8373, 0.9188)
Ge (0.3426, 0.1438, 0.4122)
Ge (0.3426, 0.3562, 0.9122)
Ge (0.6574, 0.6438, 0.0878)
Ge (0.6574, 0.8562, 0.5878)
As (0.0727, 0.2349, 0.9179)
As (0.0727, 0.2651, 0.4179)
As (0.3404, 0.6911, 0.9329)
As (0.3404, 0.8089, 0.4329)
As (0.3612, 0.2407, 0.2694)
As (0.3612, 0.2593, 0.7694)
As (0.6388, 0.7407, 0.2306)
As (0.6388, 0.7593, 0.7306)
As (0.6596, 0.1911, 0.5671)
As (0.6596, 0.3089, 0.0671)
As (0.9273, 0.7349, 0.5821)
As (0.9273, 0.7651, 0.0821)

***

[4]
The following is a theoretical XRD peak list of NaGeAsO6. It was derived from a crystal structure in Alexandria, relaxed with GGA-PBE, using CuKα.
Kinematic intensities with the Lorentz-polarization factor, no thermal factor.

Top 6 peaks for 2θ from 5° to 70°, low angle first:
index  two_theta  d/Å  Rel. int.
0 0 2  17.0  5.227  100
1 0 0  20.6  4.314  28
1 0 2  26.8  3.327  80
1 1 0  36.1  2.490  28
1 1 2  40.1  2.248  45
1 1 4  50.6  1.803  57

Crystal structure
a b c (Å): 4.9809 4.9809 10.4532
angles (deg): 90.00 90.00 120.00
Positions (direct):
Na (0.0000, 0.0000, 0.0000)
Na (0.0000, 0.0000, 0.5000)
Ge (0.3333, 0.6667, 0.2500)
Ge (0.6667, 0.3333, 0.7500)
As (0.3333, 0.6667, 0.7500)
As (0.6667, 0.3333, 0.2500)
O (0.0105, 0.3692, 0.6520)
O (0.0105, 0.6413, 0.8480)
O (0.3587, 0.3692, 0.8480)
O (0.3587, 0.9895, 0.6520)
O (0.3692, 0.0105, 0.1520)
O (0.3692, 0.3587, 0.3480)
O (0.6308, 0.6413, 0.6520)
O (0.6308, 0.9895, 0.8480)
O (0.6413, 0.0105, 0.3480)
O (0.6413, 0.6308, 0.1520)
O (0.9895, 0.3587, 0.1520)
O (0.9895, 0.6308, 0.3480)